# DyNbO4
Simulated powder diffractogram, λ = 1.5418 Å (Cu Kα). Input: a cell relaxed with PBE.
Neutral-atom scattering factors, no anomalous dispersion.

Structural model:
```
data_DyNbO4
_cell_length_a 5.6976
_cell_length_b 5.6976
_cell_length_c 5.6976
_cell_angle_alpha 118.67
_cell_angle_beta 118.67
_cell_angle_gamma 92.33
_space_group_name_H-M_alt 'P 1'
_space_group_IT_number 1
loop_
_space_group_symop_operation_xyz
'x,y,z'
loop_
_atom_site_label
_atom_site_type_symbol
_atom_site_fract_x
_atom_site_fract_y
_atom_site_fract_z
Dy1 Dy 0.3750 0.1250 0.2500
Dy2 Dy 0.6250 0.8750 0.7500
Nb1 Nb 0.1250 0.3750 0.7500
Nb2 Nb 0.8750 0.6250 0.2500
O1 O 0.0256 0.9898 0.7225
O2 O 0.1969 0.4744 0.4642
O3 O 0.2327 0.6969 0.2225
O4 O 0.4898 0.2673 0.9642
O5 O 0.5102 0.7327 0.0358
O6 O 0.7673 0.3031 0.7775
O7 O 0.8031 0.5256 0.5358
O8 O 0.9744 0.0102 0.2775
```

Most intense lines, 2θ from 5° to 70°, by angle:
2θ (°)  I/Imax
19.0  8
30.8  58
31.4  100
36.4  10
37.5  3
44.1  24
46.0  15
49.3  4
55.1  62
56.4  21
64.1  5
65.6  15